# Mg2Si
Computed X-ray powder pattern, copper Kα. Input: a crystal structure in the Materials Project, relaxed with PBE.
Intensities are scaled so that the largest is 100.

Atomic structure:
```
data_Mg2Si
_chemical_formula_sum 'Mg8 Si4'
_cell_length_a 4.4595
_cell_length_b 8.3024
_cell_length_c 6.1227
_cell_angle_alpha 90.00
_cell_angle_beta 90.00
_cell_angle_gamma 90.00
_symmetry_space_group_name_H-M 'C m c m'
_symmetry_Int_Tables_number 63
_symmetry_space_group_name_Hall '-C 2c 2'
loop_
_atom_site_label
_atom_site_fract_x
_atom_site_fract_y
_atom_site_fract_z
_atom_site_occupancy
Mg1 0.0000 0.0000 0.0000 1
Mg2 0.0000 0.3212 0.2500 1
Si1 0.0000 0.3476 0.7500 1
```

Top 12 peaks for 2θ = 10–80°, low angle first:
2θ = 29.2°, rel. 15
2θ = 36.5°, rel. 50
2θ = 37.2°, rel. 100
2θ = 38.3°, rel. 100
2θ = 40.5°, rel. 44
2θ = 53.3°, rel. 17
2θ = 55.6°, rel. 28
2θ = 69.0°, rel. 15
2θ = 71.5°, rel. 14
2θ = 72.1°, rel. 14
2θ = 73.9°, rel. 27
2θ = 75.3°, rel. 14

---

# DyNi2B2C
Computed X-ray powder pattern, copper Kα. Input: a crystal structure in the Materials Project, relaxed with PBE.
Intensities are scaled so that the largest is 100.

Atomic structure:
```
data_DyNi2B2C
_chemical_formula_sum 'Dy2 Ni4 B4 C2'
_cell_length_a 3.5486
_cell_length_b 3.5486
_cell_length_c 10.3352
_cell_angle_alpha 90.00
_cell_angle_beta 90.00
_cell_angle_gamma 90.00
_symmetry_space_group_name_H-M 'I 4/m m m'
_symmetry_Int_Tables_number 139
_symmetry_space_group_name_Hall '-I 4 2'
loop_
_atom_site_label
_atom_site_fract_x
_atom_site_fract_y
_atom_site_fract_z
_atom_site_occupancy
Dy1 0.0000 0.0000 0.0000 1
Ni1 0.0000 0.5000 0.2500 1
B1 0.0000 0.0000 0.3557 1
C1 0.0000 0.0000 0.5000 1
```

Top 12 peaks for 2θ = 10–80°, low angle first:
2θ = 26.6°, rel. 63
2θ = 34.7°, rel. 35
2θ = 36.3°, rel. 40
2θ = 39.9°, rel. 100
2θ = 51.1°, rel. 13
2θ = 51.5°, rel. 26
2θ = 58.9°, rel. 15
2θ = 63.6°, rel. 23
2θ = 64.7°, rel. 15
2θ = 65.8°, rel. 24
2θ = 75.5°, rel. 8
2θ = 75.8°, rel. 8

---

# ZnB2H8
Computed X-ray powder pattern, copper Kα. Input: a crystal structure in the Materials Project, relaxed with PBE.
Intensities are scaled so that the largest is 100.

Atomic structure:
```
data_ZnB2H8
_chemical_formula_sum 'Zn4 B8 H32'
_cell_length_a 7.0172
_cell_length_b 7.0172
_cell_length_c 12.2043
_cell_angle_alpha 90.00
_cell_angle_beta 90.00
_cell_angle_gamma 90.00
_symmetry_space_group_name_H-M 'I 41 2 2'
_symmetry_Int_Tables_number 98
_symmetry_space_group_name_Hall 'I 4bw 2bw'
loop_
_atom_site_label
_atom_site_fract_x
_atom_site_fract_y
_atom_site_fract_z
_atom_site_occupancy
Zn1 0.0000 0.0000 0.0000 1
B1 0.0601 0.7500 0.1250 1
H1 0.0499 0.2488 0.2050 1
H2 0.1115 0.6621 0.3884 1
```

Top 12 peaks for 2θ = 10–80°, low angle first:
2θ = 14.6°, rel. 100
2θ = 23.1°, rel. 39
2θ = 25.4°, rel. 24
2θ = 29.4°, rel. 14
2θ = 36.2°, rel. 20
2θ = 39.1°, rel. 15
2θ = 43.4°, rel. 15
2θ = 47.2°, rel. 14
2θ = 48.4°, rel. 5
2θ = 52.1°, rel. 7
2θ = 58.8°, rel. 6
2θ = 67.1°, rel. 8